1.
# Mg3Ga
Simulated powder diffraction line list, Cu Kα, 1.54184 Å. Input: a structure optimized by DFT (GGA-PBE).

Cell and atoms:
abc: 3.1799 4.9263 5.3746
angles: 90.00 90.00 90.00
Positions (direct):
1 Mg 0.0000 0.0000 0.0000
2 Mg 0.0000 0.5000 0.3401
3 Mg 0.5000 0.0000 0.5098
4 Ga 0.5000 0.5000 0.8393

Peak list (10 most intense, 10 to 80 degrees two-theta, by angle)
2θ/deg  Rel. int.  (hkl)
16.49  26  0 0 1
18.01  20  0 1 0
24.51  18  0 1 1
32.72  30  1 0 1
36.48  35  0 2 0
37.60  100  1 1 1
38.15  47  0 1 2
49.81  18  1 2 1
66.39  18  1 3 1
71.57  32  1 2 3

---

2.
# NdEu2NbO6
Simulated powder diffraction line list, Cu Kα, 1.54184 Å. Input: a structure optimized by DFT (GGA-PBE).

Cell and atoms:
abc: 8.4981 8.4981 8.4981
angles: 90.00 90.00 90.00
Positions (direct):
1 Nd 0.0000 0.0000 0.0000
2 Nd 0.0000 0.5000 0.5000
3 Nd 0.5000 0.0000 0.5000
4 Nd 0.5000 0.5000 0.0000
5 Eu 0.2500 0.2500 0.2500
6 Eu 0.2500 0.2500 0.7500
7 Eu 0.2500 0.7500 0.2500
8 Eu 0.2500 0.7500 0.7500
9 Eu 0.7500 0.2500 0.2500
10 Eu 0.7500 0.2500 0.7500
11 Eu 0.7500 0.7500 0.2500
12 Eu 0.7500 0.7500 0.7500
13 Nb 0.0000 0.0000 0.5000
14 Nb 0.0000 0.5000 0.0000
15 Nb 0.5000 0.0000 0.0000
16 Nb 0.5000 0.5000 0.5000
17 O 0.0400 0.5488 0.7681
18 O 0.0400 0.9512 0.7319
19 O 0.0488 0.2319 0.5400
20 O 0.0488 0.2681 0.9600
21 O 0.2319 0.5400 0.0488
22 O 0.2319 0.9600 0.4512
23 O 0.2681 0.5400 0.4512
24 O 0.2681 0.9600 0.0488
25 O 0.4512 0.2319 0.9600
26 O 0.4512 0.2681 0.5400
27 O 0.4600 0.5488 0.7319
28 O 0.4600 0.9512 0.7681
29 O 0.5400 0.0488 0.2319
30 O 0.5400 0.4512 0.2681
31 O 0.5488 0.7319 0.4600
32 O 0.5488 0.7681 0.0400
33 O 0.7319 0.0400 0.9512
34 O 0.7319 0.4600 0.5488
35 O 0.7681 0.0400 0.5488
36 O 0.7681 0.4600 0.9512
37 O 0.9512 0.7319 0.0400
38 O 0.9512 0.7681 0.4600
39 O 0.9600 0.0488 0.2681
40 O 0.9600 0.4512 0.2319

Peak list (10 most intense, 10 to 80 degrees two-theta, by angle)
2θ/deg  Rel. int.  (hkl)
18.08  1  1 1 1
29.74  100  2 2 0
35.02  1  3 1 1
36.63  3  2 2 2
42.55  26  4 0 0
46.58  1  3 3 1
52.77  45  4 2 2
61.75  15  4 4 0
70.02  18  6 2 0
77.88  5  4 4 4

---

3.
# Nd2Al3Ge
Simulated powder diffraction line list, Cu Kα, 1.54184 Å. Input: a structure optimized by DFT (GGA-PBE).

Cell and atoms:
abc: 4.2516 4.3461 7.5521
angles: 90.00 90.00 90.00
Positions (direct):
1 Nd 0.0000 0.0000 0.0000
2 Nd 0.0000 0.5000 0.4923
3 Al 0.5000 0.0000 0.6621
4 Al 0.5000 0.5000 0.1624
5 Al 0.5000 0.5000 0.8282
6 Ge 0.5000 0.0000 0.3320

Peak list (10 most intense, 10 to 80 degrees two-theta, by angle)
2θ/deg  Rel. int.  (hkl)
23.60  35  0 0 2
31.72  100  1 1 1
41.45  23  0 1 3
41.56  12  0 2 0
42.53  11  2 0 0
49.21  10  2 0 2
53.19  15  1 2 2
60.92  22  2 2 0
69.53  14  1 2 4
71.06  10  3 1 1